This entry pairs a crystal structure of Li2VSiO5 with its computed XRD peak list. Radiation: copper Kα. Structure: a GGA+U-relaxed structure.
Peak positions follow from Bragg's law for the DFT cell and can differ from measured ones.

The 6 most intense peaks (2θ = 10–90°), most intense first:
2θ/deg	I_rel	(hkl)
27.8	100.0	2 0 0
19.6	87.7	0 0 1
34.2	83.7	2 0 1
57.4	52.8	4 0 0
24.0	37.6	1 0 1
44.6	29.1	3 1 0

Crystal structure
a = 6.427 Å, b = 6.427 Å, c = 4.537 Å
α = 90.00°, β = 90.00°, γ = 90.00°
Sites, in units of the cell vectors:
Li1 0.000 0.000 0.000
Li2 0.000 0.500 0.000
Li3 0.500 0.000 0.000
Li4 0.500 0.500 0.000
V1 0.250 0.250 0.417
V2 0.750 0.750 0.583
Si1 0.250 0.750 0.500
Si2 0.750 0.250 0.500
O1 0.045 0.750 0.717
O2 0.250 0.250 0.787
O3 0.250 0.545 0.283
O4 0.250 0.955 0.283
O5 0.455 0.750 0.717
O6 0.545 0.250 0.283
O7 0.750 0.045 0.717
O8 0.750 0.455 0.717
O9 0.750 0.750 0.213
O10 0.955 0.250 0.283

=====

This entry pairs a crystal structure of LiVSiO5 with its computed XRD peak list. Radiation: copper Kα. Structure: a GGA+U-relaxed structure.
Peak positions follow from Bragg's law for the DFT cell and can differ from measured ones.

The 6 most intense peaks (2θ = 10–90°), most intense first:
2θ/deg	I_rel	(hkl)
18.8	100.0	1 0 0
28.5	41.2	0 2 0
27.9	40.7	0 0 2
34.3	36.5	1 2 0
24.2	20.5	1 0 1
32.7	19.0	1 0 -2

Crystal structure
a = 4.742 Å, b = 6.266 Å, c = 6.405 Å
α = 90.00°, β = 94.02°, γ = 90.00°
Sites, in units of the cell vectors:
Li1 0.000 0.000 0.000
Li2 0.000 0.500 0.000
V1 0.400 0.250 0.750
V2 0.600 0.750 0.250
Si1 0.484 0.750 0.754
Si2 0.516 0.250 0.246
O1 0.257 0.750 0.197
O2 0.274 0.250 0.050
O3 0.282 0.537 0.766
O4 0.282 0.963 0.766
O5 0.358 0.250 0.466
O6 0.642 0.750 0.534
O7 0.718 0.037 0.234
O8 0.718 0.463 0.234
O9 0.726 0.750 0.950
O10 0.743 0.250 0.803

=====

This entry pairs a crystal structure of LiVSi3O8 with its computed XRD peak list. Radiation: copper Kα. Structure: a GGA+U-relaxed structure.
Peak positions follow from Bragg's law for the DFT cell and can differ from measured ones.

The 6 most intense peaks (2θ = 10–90°), most intense first:
2θ/deg	I_rel	(hkl)
27.6	100.0	2 0 0
28.4	81.8	-2 1 1
22.4	66.9	-1 1 1
28.3	65.5	0 2 -2
24.0	49.8	0 2 -1
23.6	43.7	1 0 1

Crystal structure
a = 7.174 Å, b = 7.434 Å, c = 7.710 Å
α = 115.63°, β = 110.63°, γ = 94.23°
Sites, in units of the cell vectors:
Li1 0.187 0.328 0.251
Li2 0.813 0.672 0.749
V1 0.191 0.850 0.154
V2 0.809 0.150 0.846
Si1 0.266 0.189 0.823
Si2 0.280 0.577 0.777
Si3 0.381 0.788 0.554
Si4 0.619 0.212 0.446
Si5 0.720 0.423 0.223
Si6 0.734 0.811 0.177
O1 0.098 0.167 0.913
O2 0.114 0.688 0.848
O3 0.224 0.333 0.710
O4 0.266 0.966 0.645
O5 0.294 0.583 0.570
O6 0.306 0.704 0.302
O7 0.368 0.130 0.306
O8 0.496 0.293 0.020
O9 0.504 0.707 0.980
O10 0.632 0.870 0.694
O11 0.694 0.296 0.698
O12 0.706 0.417 0.430
O13 0.734 0.034 0.355
O14 0.776 0.667 0.290
O15 0.886 0.312 0.152
O16 0.902 0.833 0.087